Calculated X-ray powder pattern of La3Pm6YTm2 for a wavelength of 1.5418 Å, from a crystal structure in Alexandria, relaxed with PBE.
Intensities are scaled so that the largest is 1000.

Peak list (8 most intense, 2θ = 10–80°, by angle)
(1 3 1), 30.03°, intensity 1000; (0 0 4), 30.12°, intensity 326; (2 0 2), 34.84°, intensity 670; (0 6 0), 50.04°, intensity 242; (1 3 5), 50.16°, intensity 234; (4 0 0), 59.49°, intensity 332; (3 3 3), 59.58°, intensity 186; (2 6 2), 62.42°, intensity 123

Atomic structure:
Cell lengths 6.312, 10.943, 12.054 Å; angles 90.00, 100.09, 90.00 degrees
Space group C2/m (No. 12)
Asymmetric unit:
La  0.000  0.000  0.000
La  0.000  0.333  0.000
Pm  0.247  0.000  0.743
Pm  0.249  0.333  0.743
Y  0.000  0.500  0.500
Tm  0.000  0.167  0.500